(1)
Structure and calculated PXRD pattern of Tm2Pd8Au3 (a GGA-PBE-relaxed structure; CuKα).

The 10 most intense peaks (2θ = 10–90°), low angle first:
2θ 34.01, I 94, hkl 2 2 1
2θ 35.52, I 18, hkl 5 1 0
2θ 38.43, I 17, hkl 1 3 0
2θ 38.63, I 40, hkl 2 0 -2
2θ 39.19, I 21, hkl 1 1 -2
2θ 39.61, I 21, hkl 5 1 -1
2θ 40.03, I 35, hkl 6 0 0
2θ 40.72, I 100, hkl 4 2 -1
2θ 42.87, I 16, hkl 1 3 1
2θ 46.43, I 23, hkl 4 0 2

Cell and atoms:
```
data_Tm2Pd8Au3
_chemical_formula_sum 'Tm4 Pd16 Au6'
_symmetry_space_group_name_H-M 'C 1 2/m 1'
_symmetry_Int_Tables_number 12
_cell_length_a 13.521
_cell_length_b 7.136
_cell_length_c 4.911
_cell_angle_alpha 90.00
_cell_angle_beta 91.86
_cell_angle_gamma 90.00
loop_
_symmetry_equiv_pos_as_xyz
'x,y,z'
'-x,-y,-z'
'-x,y,-z'
'x,-y,z'
'x+1/2,y+1/2,z'
'-x+1/2,-y+1/2,-z'
'-x+1/2,y+1/2,-z'
'x+1/2,-y+1/2,z'
loop_
_atom_site_label
_atom_site_type_symbol
_atom_site_fract_x
_atom_site_fract_y
_atom_site_fract_z
Tm1 Tm 0.159 0.000 0.220
Pd1 Pd 0.056 0.000 0.727
Pd2 Pd 0.172 0.299 0.673
Pd3 Pd 0.193 0.500 0.188
Au1 Au 0.000 0.308 0.000
Au2 Au 0.000 0.500 0.500
```

***

(2)
Structure and calculated PXRD pattern of Mg14NbC (a GGA-PBE-relaxed structure; CuKα).

The 10 most intense peaks (2θ = 10–90°), low angle first:
2θ 16.35, I 14, hkl 1 0 0
2θ 18.77, I 24, hkl 1 0 1
2θ 33.05, I 26, hkl 2 0 0
2θ 37.22, I 23, hkl 0 0 4
2θ 38.07, I 100, hkl 2 0 2
2θ 50.62, I 15, hkl 2 0 4
2θ 59.03, I 17, hkl 2 2 0
2θ 67.67, I 15, hkl 2 0 6
2θ 71.88, I 17, hkl 2 2 4
2θ 72.42, I 13, hkl 4 0 2

Cell and atoms:
```
data_Mg14NbC
_chemical_formula_sum 'Mg14 Nb1 C1'
_symmetry_space_group_name_H-M 'P -6 m 2'
_symmetry_Int_Tables_number 187
_symmetry_space_group_name_Hall 'P -6 2'
_cell_length_a 6.2599
_cell_length_b 6.2599
_cell_length_c 9.6622
_cell_angle_alpha 90.00
_cell_angle_beta 90.00
_cell_angle_gamma 120.00
loop_
_atom_site_label
_atom_site_type_symbol
_atom_site_fract_x
_atom_site_fract_y
_atom_site_fract_z
Mg1 Mg 0.0000 0.0000 0.2424
Mg2 Mg 0.0253 0.5126 0.2650
Mg3 Mg 0.3257 0.1629 0.5000
Mg4 Mg 0.3437 0.1718 0.0000
Nb1 Nb 0.3333 0.6667 0.0000
C1 C 0.3333 0.6667 0.5000
```

***

(3)
Structure and calculated PXRD pattern of Nd2Al6Ir (a GGA-PBE-relaxed structure; CuKα).

The 10 most intense peaks (2θ = 10–90°), low angle first:
2θ 15.11, I 66, hkl 0 0 1
2θ 23.01, I 59, hkl 0 1 1
2θ 30.11, I 83, hkl 1 1 0
2θ 33.85, I 100, hkl 1 1 1
2θ 35.24, I 75, hkl 0 1 2
2θ 38.23, I 62, hkl 2 0 1
2θ 47.01, I 27, hkl 2 0 2
2θ 49.92, I 30, hkl 0 1 3
2θ 56.84, I 36, hkl 1 2 2
2θ 68.04, I 25, hkl 1 2 3

Cell and atoms:
```
data_Nd2Al6Ir
_chemical_formula_sum 'Nd2 Al6 Ir1'
_symmetry_space_group_name_H-M 'P -3 m 1'
_symmetry_Int_Tables_number 164
_symmetry_space_group_name_Hall '-P 3 2"'
_cell_length_a 5.9369
_cell_length_b 5.9369
_cell_length_c 5.8627
_cell_angle_alpha 90.00
_cell_angle_beta 90.00
_cell_angle_gamma 120.00
loop_
_atom_site_label
_atom_site_type_symbol
_atom_site_fract_x
_atom_site_fract_y
_atom_site_fract_z
Nd1 Nd 0.3333 0.6667 0.1487
Al1 Al 0.1708 0.3415 0.6832
Ir1 Ir 0.0000 0.0000 0.0000
```

***

(4)
Structure and calculated PXRD pattern of AcMgAsAu (a GGA-PBE-relaxed structure; CuKα).

The 10 most intense peaks (2θ = 10–90°), low angle first:
2θ 20.81, I 43, hkl 1 1 1
2θ 34.31, I 100, hkl 2 2 0
2θ 40.46, I 25, hkl 3 1 1
2θ 49.30, I 18, hkl 4 0 0
2θ 54.07, I 11, hkl 3 3 1
2θ 61.44, I 38, hkl 4 2 2
2θ 65.61, I 8, hkl 5 1 1
2θ 72.29, I 12, hkl 4 4 0
2θ 76.18, I 8, hkl 5 3 1
2θ 82.52, I 17, hkl 6 2 0

Cell and atoms:
```
data_AcMgAsAu
_chemical_formula_sum 'Ac4 Mg4 As4 Au4'
_symmetry_space_group_name_H-M 'F -4 3 m'
_symmetry_Int_Tables_number 216
_symmetry_space_group_name_Hall 'F -4 2 3'
_cell_length_a 7.393
_cell_length_b 7.393
_cell_length_c 7.393
_cell_angle_alpha 90.00
_cell_angle_beta 90.00
_cell_angle_gamma 90.00
loop_
_atom_site_label
_atom_site_type_symbol
_atom_site_fract_x
_atom_site_fract_y
_atom_site_fract_z
Ac1 Ac 0.000 0.000 0.000
Mg1 Mg 0.000 0.000 0.500
As1 As 0.250 0.250 0.250
Au1 Au 0.250 0.250 0.750
```